Structure and calculated X-ray diffraction stick pattern of Y4HoBi5 (the PBE geometry in OQMD; Cu Kα, 1.54184 Å).

Cell lengths 4.4639, 4.4639, 31.5645 Å; angles 90.00, 90.00, 90.00 degrees
Space group I4/mmm (No. 139)
Symmetry-distinct sites (fractional):
1 Y 0.0000 0.0000 0.1000
2 Y 0.0000 0.0000 0.3002
3 Ho 0.0000 0.0000 0.5000
4 Bi 0.0000 0.0000 0.0000
5 Bi 0.0000 0.0000 0.2000
6 Bi 0.0000 0.0000 0.4004

Principal peaks in the range 2θ = 15–90°, sorted by position:
Position (°2θ)	intensity	h k l
24.4	19	1 0 5
28.3	100	1 1 0
40.4	78	2 0 0
50.1	28	2 0 10
66.2	37	3 1 0
73.5	27	3 1 10